[1]
Diffraction record for La3Pr8Th. The powder X-ray diffraction pattern is calculated, not measured: it uses a crystal structure in Alexandria, relaxed with PBE and Cu Kα.
Intensities are scaled so that the largest is 100.

Structure:
```
La3Pr8Th
1.0
-3.3349 5.8920 5.9078
3.3349 -5.8920 5.9078
3.3349 5.8920 -5.9078
La Pr Th
3 8 1
Direct
0.0000 0.0000 0.0000
0.2750 0.5000 0.7750
0.7250 0.5000 0.2250
0.0866 0.8331 0.2535
0.2543 0.0093 0.7550
0.2543 0.4993 0.2450
0.4204 0.1669 0.2535
0.5796 0.8331 0.7465
0.7457 0.5007 0.7550
0.7457 0.9907 0.2450
0.9134 0.1669 0.7465
0.5000 0.0000 0.5000
```

Peak list (6 most intense, 2θ = 5–70°, by angle)
d 2.948, 30.3°, I 64.6; d 2.939, 30.4°, I 100.0; d 2.903, 30.8°, I 62.6; d 2.640, 34.0°, I 24.5; d 2.605, 34.4°, I 44.2; d 1.839, 49.6°, I 25.1

***

[2]
Diffraction record for La10Pr4Th. The powder X-ray diffraction pattern is calculated, not measured: it uses a crystal structure in Alexandria, relaxed with PBE and Cu Kα.
Intensities are scaled so that the largest is 100.

Structure:
```
La10Pr4Th
1.0
-5.8038 5.8038 4.1175
5.8038 -5.8038 4.1175
5.8038 5.8038 -4.1175
La Pr Th
10 4 1
Direct
0.0071 0.7941 0.2130
0.2059 0.4189 0.2130
0.2059 0.9929 0.7870
0.2500 0.7500 0.5000
0.4189 0.2059 0.2130
0.5811 0.7941 0.7870
0.7500 0.2500 0.5000
0.7941 0.0071 0.2130
0.7941 0.5811 0.7870
0.9929 0.2059 0.7870
0.2780 0.2780 0.5559
0.2780 0.7220 0.0000
0.7220 0.2780 0.0000
0.7220 0.7220 0.4441
0.5000 0.5000 0.0000
```

Peak list (6 most intense, 2θ = 5–70°, by angle)
d 3.358, 26.5°, I 18.1; d 2.998, 29.8°, I 34.6; d 2.904, 30.8°, I 100.0; d 2.739, 32.7°, I 26.1; d 2.671, 33.6°, I 17.8; d 2.278, 39.6°, I 30.5

***

[3]
Diffraction record for La2Pr2Th. The powder X-ray diffraction pattern is calculated, not measured: it uses a crystal structure in Alexandria, relaxed with PBE and Cu Kα.
Intensities are scaled so that the largest is 100.

Structure:
```
La2Pr2Th
1.0
1.8490 1.0675 14.9927
-1.8490 1.0675 14.9927
0.0000 -2.1350 14.9927
La Pr Th
2 2 1
Direct
0.1338 0.1338 0.1338
0.8662 0.8662 0.8662
0.3967 0.3967 0.3967
0.6033 0.6033 0.6033
0.0000 0.0000 0.0000
```

Peak list (6 most intense, 2θ = 5–70°, by angle)
d 3.017, 29.6°, I 47.4; d 2.999, 29.8°, I 66.2; d 2.866, 31.2°, I 82.0; d 2.783, 32.2°, I 100.0; d 1.849, 49.3°, I 51.4; d 1.574, 58.7°, I 59.0

***

[4]
Diffraction record for LaPr6Th2. The powder X-ray diffraction pattern is calculated, not measured: it uses a crystal structure in Alexandria, relaxed with PBE and Cu Kα.
Intensities are scaled so that the largest is 100.

Structure:
```
LaPr6Th2
1.0
3.6543 0.0000 0.0000
-1.8272 3.1648 0.0000
0.0000 0.0000 27.7367
La Pr Th
1 6 2
Direct
0.0000 0.0000 0.0000
0.0000 0.0000 0.2237
0.0000 0.0000 0.4369
0.0000 0.0000 0.5631
0.0000 0.0000 0.7763
0.3333 0.6667 0.1117
0.3333 0.6667 0.8883
0.3333 0.6667 0.3313
0.3333 0.6667 0.6687
```

Peak list (6 most intense, 2θ = 5–70°, by angle)
d 3.165, 28.2°, I 52.8; d 3.082, 29.0°, I 72.8; d 2.879, 31.1°, I 82.8; d 2.749, 32.6°, I 100.0; d 1.827, 49.9°, I 44.2; d 1.572, 58.7°, I 53.6

***

[5]
Diffraction record for La3PrTh2. The powder X-ray diffraction pattern is calculated, not measured: it uses a crystal structure in Alexandria, relaxed with PBE and Cu Kα.
Intensities are scaled so that the largest is 100.

Structure:
```
La3PrTh2
1.0
3.4953 -9.0187 0.0000
3.4953 9.0187 0.0000
0.0000 0.0000 6.7192
La Pr Th
6 2 4
Direct
0.0781 0.4200 0.7500
0.1470 0.8530 0.7500
0.4200 0.0781 0.2500
0.5800 0.9219 0.7500
0.8530 0.1470 0.2500
0.9219 0.5800 0.2500
0.3537 0.6463 0.2500
0.6463 0.3537 0.7500
0.2493 0.2493 0.0000
0.2493 0.2493 0.5000
0.7507 0.7507 0.0000
0.7507 0.7507 0.5000
```

Peak list (6 most intense, 2θ = 5–70°, by angle)
d 9.019, 9.8°, I 56.5; d 3.148, 28.3°, I 100.0; d 3.006, 29.7°, I 83.6; d 2.932, 30.5°, I 92.2; d 2.694, 33.3°, I 93.4; d 2.339, 38.5°, I 54.2

***

[6]
Diffraction record for La7Pr12Th. The powder X-ray diffraction pattern is calculated, not measured: it uses a crystal structure in Alexandria, relaxed with PBE and Cu Kα.
Intensities are scaled so that the largest is 100.

Structure:
```
La7Pr12Th
1.0
6.4199 3.7065 5.1208
-6.4199 3.7065 5.1208
0.0000 -7.4131 5.1208
La Pr Th
7 12 1
Direct
0.0000 0.0000 0.0000
0.1236 0.4450 0.3760
0.3760 0.1236 0.4450
0.4450 0.3760 0.1236
0.5550 0.6240 0.8764
0.6240 0.8764 0.5550
0.8764 0.5550 0.6240
0.0395 0.9363 0.3388
0.0637 0.6612 0.9605
0.2200 0.3614 0.7507
0.2493 0.7800 0.6386
0.3388 0.0395 0.9363
0.3614 0.7507 0.2200
0.6386 0.2493 0.7800
0.6612 0.9605 0.0637
0.7507 0.2200 0.3614
0.7800 0.6386 0.2493
0.9363 0.3388 0.0395
0.9605 0.0637 0.6612
0.5000 0.5000 0.5000
```

Peak list (6 most intense, 2θ = 5–70°, by angle)
d 3.160, 28.2°, I 38.3; d 3.024, 29.5°, I 92.8; d 3.003, 29.8°, I 43.6; d 2.962, 30.2°, I 32.6; d 2.862, 31.3°, I 100.0; d 2.835, 31.6°, I 43.4

***

[7]
Diffraction record for La15Pr4Th. The powder X-ray diffraction pattern is calculated, not measured: it uses a crystal structure in Alexandria, relaxed with PBE and Cu Kα.
Intensities are scaled so that the largest is 100.

Structure:
```
La15Pr4Th
1.0
5.2377 0.0000 0.0000
0.0000 5.2377 0.0000
0.0000 0.0000 26.4164
La Pr Th
15 4 1
Direct
0.0000 0.0000 0.0000
0.0000 0.0000 0.2014
0.0000 0.0000 0.4007
0.0000 0.0000 0.5993
0.0000 0.0000 0.7986
0.0000 0.5000 0.0954
0.0000 0.5000 0.2992
0.0000 0.5000 0.5000
0.0000 0.5000 0.7008
0.0000 0.5000 0.9046
0.5000 0.0000 0.0954
0.5000 0.0000 0.2992
0.5000 0.0000 0.5000
0.5000 0.0000 0.7008
0.5000 0.0000 0.9046
0.5000 0.5000 0.1997
0.5000 0.5000 0.4001
0.5000 0.5000 0.5999
0.5000 0.5000 0.8003
0.5000 0.5000 0.0000
```

Peak list (6 most intense, 2θ = 5–70°, by angle)
d 3.033, 29.5°, I 100.0; d 2.642, 33.9°, I 17.2; d 2.619, 34.2°, I 33.7; d 1.860, 49.0°, I 24.1; d 1.590, 58.0°, I 14.2; d 1.580, 58.4°, I 28.9

***

[8]
Diffraction record for LaPr2Tm4Th. The powder X-ray diffraction pattern is calculated, not measured: it uses a crystal structure in Alexandria, relaxed with PBE and Cu Kα.
Intensities are scaled so that the largest is 100.

Structure:
```
LaPr2Tm4Th
1.0
5.1457 0.0000 0.0000
0.0000 5.1490 0.0000
-0.0094 0.0000 9.8653
La Pr Tm Th
1 2 4 1
Direct
0.0000 0.0000 0.0000
0.0000 0.0000 0.5000
0.5000 0.5000 0.0000
0.0000 0.5000 0.2561
0.0000 0.5000 0.7439
0.4996 0.0000 0.2561
0.5004 0.0000 0.7439
0.5000 0.5000 0.5000
```

Peak list (6 most intense, 2θ = 5–70°, by angle)
d 2.929, 30.5°, I 100.0; d 2.574, 34.9°, I 35.3; d 2.466, 36.4°, I 15.5; d 1.781, 51.3°, I 23.5; d 1.546, 59.8°, I 29.9; d 1.498, 61.9°, I 13.3

***

Please write out number 4 again, unchanged.
Diffraction record for LaPr6Th2. The powder X-ray diffraction pattern is calculated, not measured: it uses a crystal structure in Alexandria, relaxed with PBE and Cu Kα.
Intensities are scaled so that the largest is 100.

Structure:
```
LaPr6Th2
1.0
3.6543 0.0000 0.0000
-1.8272 3.1648 0.0000
0.0000 0.0000 27.7367
La Pr Th
1 6 2
Direct
0.0000 0.0000 0.0000
0.0000 0.0000 0.2237
0.0000 0.0000 0.4369
0.0000 0.0000 0.5631
0.0000 0.0000 0.7763
0.3333 0.6667 0.1117
0.3333 0.6667 0.8883
0.3333 0.6667 0.3313
0.3333 0.6667 0.6687
```

Peak list (6 most intense, 2θ = 5–70°, by angle)
d 3.165, 28.2°, I 52.8; d 3.082, 29.0°, I 72.8; d 2.879, 31.1°, I 82.8; d 2.749, 32.6°, I 100.0; d 1.827, 49.9°, I 44.2; d 1.572, 58.7°, I 53.6